Simulated X-ray powder pattern of Al4Ni3Os for Cu Kα, from a crystal structure in Alexandria, relaxed with GGA-PBE.
Intensities are scaled so that the largest is 100.

Lattice parameters (Å, degrees): 2.990 2.990 11.279 90.00 90.00 90.00
Atoms (fractional coordinates):
Al1 0.000 0.000 0.122
Al2 0.000 0.000 0.370
Al3 0.000 0.000 0.630
Al4 0.000 0.000 0.878
Ni1 0.500 0.500 0.000
Ni2 0.500 0.500 0.242
Ni3 0.500 0.500 0.758
Os1 0.500 0.500 0.500

Main lines, low angle first (2θ = 10–90°):
| 2θ (°) | I (rel.) | index |
| --- | --- | --- |
| 15.71 | 19.8 | 0 0 2 |
| 29.88 | 46.4 | 1 0 0 |
| 31.73 | 19.5 | 0 0 4 |
| 42.77 | 55.7 | 1 1 0 |
| 44.15 | 100.0 | 1 0 4 |
| 79.30 | 34.2 | 2 1 4 |